# 1
Starting from DFT lattice parameters and positions (PBE+U), the powder XRD pattern of PrAlMoO6 was calculated for Cu Kα.
Kinematic intensities with the Lorentz-polarization factor, no thermal factor.

Peak list (12 most intense, 15 to 90 degrees two-theta, sorted by position)
- 20.1 deg, I 16
- 26.6 deg, I 100
- 35.1 deg, I 25
- 40.5 deg, I 8
- 44.6 deg, I 22
- 50.3 deg, I 33
- 57.6 deg, I 10
- 58.0 deg, I 22
- 63.0 deg, I 10
- 69.3 deg, I 7
- 80.1 deg, I 8
- 80.4 deg, I 9

Structure:
```
PrAlMoO6
1.0
5.111 0.000 0.000
-2.555 4.426 0.000
0.000 0.000 5.150
Pr Al Mo O
1 1 1 6
direct
0.000 0.000 0.000 Pr
0.333 0.667 0.500 Al
0.667 0.333 0.500 Mo
0.004 0.377 0.709 O
0.004 0.627 0.291 O
0.373 0.377 0.291 O
0.373 0.996 0.709 O
0.623 0.627 0.709 O
0.623 0.996 0.291 O
```

# 2
Starting from DFT lattice parameters and positions (PBE+U), the powder XRD pattern of Co3O4 was calculated for Cu Kα.
Kinematic intensities with the Lorentz-polarization factor, no thermal factor.

Peak list (12 most intense, 15 to 90 degrees two-theta, sorted by position)
- 18.9 deg, I 13
- 31.0 deg, I 31
- 36.6 deg, I 100
- 38.3 deg, I 11
- 44.5 deg, I 19
- 55.2 deg, I 10
- 58.9 deg, I 37
- 64.7 deg, I 43
- 73.5 deg, I 3
- 76.7 deg, I 10
- 77.7 deg, I 6
- 81.9 deg, I 3

Structure:
```
Co3O4
1.0
0.000 4.075 4.075
4.075 0.000 4.075
4.075 4.075 0.000
Co O
6 8
direct
0.000 0.000 0.000 Co
0.000 0.000 0.500 Co
0.000 0.500 0.000 Co
0.375 0.375 0.375 Co
0.500 0.000 0.000 Co
0.625 0.625 0.625 Co
0.209 0.764 0.764 O
0.236 0.236 0.236 O
0.236 0.236 0.791 O
0.236 0.791 0.236 O
0.764 0.209 0.764 O
0.764 0.764 0.209 O
0.764 0.764 0.764 O
0.791 0.236 0.236 O
```